1.
Diffraction record for MoBr2O2. The PXRD pattern is computed, not measured: it uses a crystal structure in the Materials Project, relaxed with GGA+U and Cu Kα (λ = 1.5418 Å).

Largest 10 diffraction maxima, in order of falling intensity, 15 to 90 degrees two-theta:
- 22.99 deg, 3.869 Å, I = 100
- 23.50 deg, 3.785 Å, I = 97
- 32.08 deg, 2.790 Å, I = 62
- 34.44 deg, 2.604 Å, I = 42
- 46.59 deg, 1.949 Å, I = 37
- 47.77 deg, 1.904 Å, I = 33
- 52.54 deg, 1.742 Å, I = 17
- 45.43 deg, 1.996 Å, I = 16
- 28.59 deg, 3.122 Å, I = 15
- 51.77 deg, 1.766 Å, I = 15

Structural model:
a b c (Å): 8.2922 8.2922 7.8024
angles (deg): 103.47 103.47 27.86
Fractional positions:
Mo  0.0614  0.9386  0.5000
Mo  0.9386  0.0614  0.0000
Br  0.1301  0.1816  0.5346
Br  0.1816  0.1301  0.0346
Br  0.8183  0.8706  0.3806
Br  0.8706  0.8183  0.8806
O  0.0117  0.9886  0.7272
O  0.4991  0.5010  0.4829
O  0.5010  0.4991  0.9829
O  0.9886  0.0117  0.2272



2.
Diffraction record for MoBr3O. The PXRD pattern is computed, not measured: it uses a crystal structure in the Materials Project, relaxed with GGA+U and Cu Kα (λ = 1.5418 Å).

Largest 10 diffraction maxima, in order of falling intensity, 15 to 90 degrees two-theta:
- 29.77 deg, 3.001 Å, I = 100
- 23.87 deg, 3.728 Å, I = 98
- 16.51 deg, 5.369 Å, I = 40
- 24.99 deg, 3.564 Å, I = 39
- 44.23 deg, 2.048 Å, I = 35
- 38.23 deg, 2.354 Å, I = 31
- 54.14 deg, 1.694 Å, I = 25
- 54.32 deg, 1.689 Å, I = 24
- 31.11 deg, 2.875 Å, I = 21
- 42.60 deg, 2.122 Å, I = 20

Structural model:
a b c (Å): 3.9232 12.0043 12.6087
angles (deg): 90.00 107.79 90.00
Fractional positions:
Mo  0.1874  0.1170  0.1170
Mo  0.1874  0.3830  0.6170
Mo  0.8126  0.6170  0.3830
Mo  0.8126  0.8830  0.8830
Br  0.1031  0.6046  0.6046
Br  0.1031  0.8954  0.1046
Br  0.1084  0.1785  0.6084
Br  0.1084  0.3215  0.1084
Br  0.3196  0.1083  0.3215
Br  0.3196  0.3917  0.8215
Br  0.6804  0.6083  0.1785
Br  0.6804  0.8917  0.6785
Br  0.8916  0.6785  0.8916
Br  0.8916  0.8215  0.3916
Br  0.8969  0.1046  0.8954
Br  0.8969  0.3954  0.3954
O  0.3659  0.6108  0.3892
O  0.3659  0.8892  0.8892
O  0.6341  0.1108  0.1108
O  0.6341  0.3892  0.6108



3.
Diffraction record for PrMoBrO4. The PXRD pattern is computed, not measured: it uses a crystal structure in the Materials Project, relaxed with GGA+U and Cu Kα (λ = 1.5418 Å).

Largest 10 diffraction maxima, in order of falling intensity, 15 to 90 degrees two-theta:
- 23.57 deg, 3.775 Å, I = 100
- 24.68 deg, 3.608 Å, I = 49
- 31.88 deg, 2.808 Å, I = 32
- 26.49 deg, 3.365 Å, I = 22
- 28.77 deg, 3.103 Å, I = 21
- 30.54 deg, 2.927 Å, I = 20
- 17.05 deg, 5.200 Å, I = 18
- 27.67 deg, 3.224 Å, I = 17
- 34.07 deg, 2.631 Å, I = 16
- 47.92 deg, 1.898 Å, I = 15

Structural model:
a b c (Å): 7.0865 7.5646 11.3903
angles (deg): 106.12 106.64 92.44
Fractional positions:
Pr  0.1053  0.3544  0.2314
Pr  0.1466  0.1276  0.7304
Pr  0.8534  0.8724  0.2696
Pr  0.8947  0.6456  0.7686
Mo  0.2317  0.8175  0.1339
Mo  0.2762  0.5938  0.6309
Mo  0.7238  0.4062  0.3691
Mo  0.7683  0.1825  0.8661
Br  0.2428  0.0339  0.4806
Br  0.3073  0.2887  0.0198
Br  0.6927  0.7113  0.9802
Br  0.7572  0.9661  0.5194
O  0.1057  0.0187  0.1776
O  0.1219  0.6605  0.1999
O  0.1631  0.7960  0.6969
O  0.1739  0.7314  0.9642
O  0.1821  0.5126  0.4597
O  0.1968  0.4314  0.7027
O  0.4614  0.3615  0.3232
O  0.4936  0.8672  0.2065
O  0.5064  0.1328  0.7935
O  0.5386  0.6385  0.6768
O  0.8032  0.5686  0.2973
O  0.8179  0.4874  0.5403
O  0.8261  0.2686  0.0358
O  0.8369  0.2040  0.3031
O  0.8781  0.3395  0.8001
O  0.8943  0.9813  0.8224



4.
Diffraction record for Rb5Mo2Br9O. The PXRD pattern is computed, not measured: it uses a crystal structure in the Materials Project, relaxed with GGA+U and Cu Kα (λ = 1.5418 Å).

Largest 10 diffraction maxima, in order of falling intensity, 15 to 90 degrees two-theta:
- 32.57 deg, 2.749 Å, I = 100
- 28.81 deg, 3.099 Å, I = 97
- 29.22 deg, 3.057 Å, I = 88
- 29.36 deg, 3.043 Å, I = 61
- 26.94 deg, 3.310 Å, I = 48
- 26.83 deg, 3.323 Å, I = 41
- 33.58 deg, 2.669 Å, I = 39
- 44.41 deg, 2.040 Å, I = 37
- 47.47 deg, 1.915 Å, I = 33
- 28.15 deg, 3.170 Å, I = 29

Structural model:
a b c (Å): 9.5103 9.5103 14.7096
angles (deg): 90.00 90.00 109.36
Fractional positions:
Rb  0.0564  0.4358  0.3413
Rb  0.1291  0.8709  0.5000
Rb  0.1859  0.2756  0.6401
Rb  0.2756  0.1859  0.1401
Rb  0.4358  0.0564  0.8413
Rb  0.5642  0.9436  0.3413
Rb  0.7244  0.8141  0.6401
Rb  0.8141  0.7244  0.1401
Rb  0.8709  0.1291  0.0000
Rb  0.9436  0.5642  0.8413
Mo  0.2761  0.7239  0.1044
Mo  0.4601  0.5399  0.8819
Mo  0.5399  0.4601  0.3819
Mo  0.7239  0.2761  0.6044
Br  0.0443  0.4805  0.0939
Br  0.1466  0.8534  0.9886
Br  0.1831  0.8169  0.2497
Br  0.2162  0.2977  0.8848
Br  0.2977  0.2162  0.3848
Br  0.3213  0.6787  0.7751
Br  0.3933  0.6067  0.4795
Br  0.4219  0.5781  0.1979
Br  0.4805  0.0443  0.5939
Br  0.5195  0.9557  0.0939
Br  0.5781  0.4219  0.6979
Br  0.6067  0.3933  0.9795
Br  0.6787  0.3213  0.2751
Br  0.7023  0.7838  0.8848
Br  0.7838  0.7023  0.3848
Br  0.8169  0.1831  0.7497
Br  0.8534  0.1466  0.4886
Br  0.9557  0.5195  0.5939
O  0.0334  0.9666  0.6510
O  0.9666  0.0334  0.1510